No. 1
Starting from the PBE geometry in Alexandria, the X-ray powder pattern of Tl7Bi was calculated for Cu Kα.
Kinematic intensities with the Lorentz-polarization factor, no thermal factor.

Largest 6 diffraction maxima, by angle, 10 to 80 degrees two-theta:
2θ = 31.22°, rel. 100
2θ = 34.05°, rel. 40
2θ = 40.20°, rel. 13
2θ = 48.92°, rel. 15
2θ = 53.68°, rel. 22
2θ = 59.18°, rel. 34

Structural model:
a = 9.715 Å, b = 9.715 Å, c = 9.715 Å
α = 148.55°, β = 148.55°, γ = 45.08°
Atoms (fractional coordinates):
Tl 0.000 0.000 0.000
Tl 0.125 0.625 0.500
Tl 0.246 0.246 0.000
Tl 0.375 0.875 0.500
Tl 0.625 0.125 0.500
Tl 0.754 0.754 0.000
Tl 0.875 0.375 0.500
Bi 0.500 0.500 0.000

---

No. 2
Starting from the PBE geometry in Alexandria, the X-ray powder pattern of TbSm6Dy12 was calculated for Cu Kα.
Kinematic intensities with the Lorentz-polarization factor, no thermal factor.

Largest 6 diffraction maxima, by angle, 10 to 80 degrees two-theta:
2θ = 29.40°, rel. 51
2θ = 31.53°, rel. 59
2θ = 31.66°, rel. 67
2θ = 32.05°, rel. 100
2θ = 34.40°, rel. 40
2θ = 56.96°, rel. 29

Structural model:
a = 8.717 Å, b = 8.717 Å, c = 8.717 Å
α = 98.71°, β = 98.71°, γ = 98.71°
Atoms (fractional coordinates):
Tb 0.000 0.000 0.000
Sm 0.097 0.097 0.657
Sm 0.097 0.657 0.097
Sm 0.343 0.903 0.903
Sm 0.657 0.097 0.097
Sm 0.903 0.343 0.903
Sm 0.903 0.903 0.343
Dy 0.083 0.356 0.356
Dy 0.242 0.500 0.758
Dy 0.242 0.758 0.500
Dy 0.356 0.083 0.356
Dy 0.356 0.356 0.083
Dy 0.500 0.242 0.758
Dy 0.500 0.758 0.242
Dy 0.644 0.644 0.917
Dy 0.644 0.917 0.644
Dy 0.758 0.242 0.500
Dy 0.758 0.500 0.242
Dy 0.917 0.644 0.644

---

No. 3
Starting from the PBE geometry in Alexandria, the X-ray powder pattern of Y2BeRhC was calculated for Cu Kα.
Kinematic intensities with the Lorentz-polarization factor, no thermal factor.

Largest 6 diffraction maxima, by angle, 10 to 80 degrees two-theta:
2θ = 17.76°, rel. 29
2θ = 31.80°, rel. 23
2θ = 35.96°, rel. 61
2θ = 36.65°, rel. 100
2θ = 51.77°, rel. 21
2θ = 65.10°, rel. 36

Structural model:
a = 4.995 Å, b = 4.995 Å, c = 3.407 Å
α = 90.00°, β = 90.00°, γ = 90.00°
Atoms (fractional coordinates):
Y 0.000 0.500 0.000
Y 0.500 0.000 0.000
Be 0.000 0.000 0.500
Rh 0.500 0.500 0.500
C 0.000 0.000 0.000

---

No. 4
Starting from the PBE geometry in Alexandria, the X-ray powder pattern of Ca3PrAu4 was calculated for Cu Kα.
Kinematic intensities with the Lorentz-polarization factor, no thermal factor.

Largest 6 diffraction maxima, by angle, 10 to 80 degrees two-theta:
2θ = 24.32°, rel. 29
2θ = 34.66°, rel. 100
2θ = 49.82°, rel. 18
2θ = 56.19°, rel. 13
2θ = 62.11°, rel. 37
2θ = 73.12°, rel. 11

Structural model:
a = 6.340 Å, b = 6.340 Å, c = 6.340 Å
α = 109.47°, β = 109.47°, γ = 109.47°
Atoms (fractional coordinates):
Ca 0.000 0.500 0.500
Ca 0.500 0.000 0.500
Ca 0.500 0.500 0.000
Pr 0.000 0.000 0.000
Au 0.000 0.000 0.500
Au 0.000 0.500 0.000
Au 0.500 0.000 0.000
Au 0.500 0.500 0.500

---

No. 5
Starting from the PBE geometry in Alexandria, the X-ray powder pattern of CsHF2 was calculated for Cu Kα.
Kinematic intensities with the Lorentz-polarization factor, no thermal factor.

Largest 6 diffraction maxima, by angle, 10 to 80 degrees two-theta:
2θ = 20.99°, rel. 100
2θ = 25.86°, rel. 41
2θ = 27.42°, rel. 44
2θ = 32.29°, rel. 43
2θ = 33.62°, rel. 28
2θ = 42.87°, rel. 28

Structural model:
a = 6.244 Å, b = 6.890 Å, c = 8.591 Å
α = 90.00°, β = 120.78°, γ = 90.00°
Atoms (fractional coordinates):
Cs 0.250 0.211 0.070
Cs 0.250 0.289 0.570
Cs 0.750 0.711 0.430
Cs 0.750 0.789 0.930
H 0.232 0.671 0.924
H 0.232 0.829 0.424
H 0.768 0.171 0.576
H 0.768 0.329 0.076
F 0.112 0.560 0.816
F 0.112 0.940 0.316
F 0.352 0.719 0.539
F 0.352 0.781 0.039
F 0.648 0.219 0.961
F 0.648 0.281 0.461
F 0.888 0.060 0.684
F 0.888 0.440 0.184

---

No. 6
Starting from the PBE geometry in Alexandria, the X-ray powder pattern of Ho5AgSb4 was calculated for Cu Kα.
Kinematic intensities with the Lorentz-polarization factor, no thermal factor.

Largest 6 diffraction maxima, by angle, 10 to 80 degrees two-theta:
2θ = 29.05°, rel. 100
2θ = 41.56°, rel. 76
2θ = 51.50°, rel. 27
2θ = 68.19°, rel. 23
2θ = 68.32°, rel. 11
2θ = 75.78°, rel. 17

Structural model:
a = 7.531 Å, b = 7.531 Å, c = 7.531 Å
α = 99.55°, β = 99.55°, γ = 131.92°
Atoms (fractional coordinates):
Ho 0.000 0.000 0.000
Ho 0.192 0.603 0.797
Ho 0.394 0.192 0.589
Ho 0.603 0.806 0.411
Ho 0.806 0.394 0.203
Ag 0.500 0.500 0.000
Sb 0.100 0.297 0.399
Sb 0.297 0.898 0.198
Sb 0.700 0.100 0.802
Sb 0.898 0.700 0.601

---

No. 7
Starting from the PBE geometry in Alexandria, the X-ray powder pattern of LaPu2P4Au was calculated for Cu Kα.
Kinematic intensities with the Lorentz-polarization factor, no thermal factor.

Largest 6 diffraction maxima, by angle, 10 to 80 degrees two-theta:
2θ = 14.92°, rel. 49
2θ = 23.90°, rel. 37
2θ = 26.47°, rel. 77
2θ = 26.98°, rel. 52
2θ = 32.78°, rel. 100
2θ = 45.62°, rel. 35

Structural model:
a = 6.915 Å, b = 6.915 Å, c = 13.521 Å
α = 90.00°, β = 90.00°, γ = 145.84°
Atoms (fractional coordinates):
La 0.117 0.883 0.750
La 0.883 0.117 0.250
Pu 0.370 0.630 0.560
Pu 0.370 0.630 0.940
Pu 0.630 0.370 0.060
Pu 0.630 0.370 0.440
P 0.000 0.000 0.000
P 0.000 0.000 0.500
P 0.269 0.731 0.112
P 0.269 0.731 0.388
P 0.456 0.544 0.750
P 0.544 0.456 0.250
P 0.731 0.269 0.612
P 0.731 0.269 0.888
Au 0.149 0.851 0.250
Au 0.851 0.149 0.750

---

No. 8
Starting from the PBE geometry in Alexandria, the X-ray powder pattern of Pm3HgRu was calculated for Cu Kα.
Kinematic intensities with the Lorentz-polarization factor, no thermal factor.

Largest 6 diffraction maxima, by angle, 10 to 80 degrees two-theta:
2θ = 28.40°, rel. 37
2θ = 30.13°, rel. 53
2θ = 32.27°, rel. 43
2θ = 34.11°, rel. 100
2θ = 35.08°, rel. 54
2θ = 38.11°, rel. 36

Structural model:
a = 9.478 Å, b = 8.665 Å, c = 6.073 Å
α = 77.86°, β = 63.35°, γ = 38.79°
Atoms (fractional coordinates):
Pm 0.197 0.197 0.803
Pm 0.200 0.579 0.421
Pm 0.421 0.800 0.200
Pm 0.579 0.200 0.800
Pm 0.800 0.421 0.579
Pm 0.803 0.803 0.197
Hg 0.214 0.786 0.786
Hg 0.786 0.214 0.214
Ru 0.250 0.250 0.250
Ru 0.750 0.750 0.750

---

No. 9
Starting from the PBE geometry in Alexandria, the X-ray powder pattern of BaSb3Au3 was calculated for Cu Kα.
Kinematic intensities with the Lorentz-polarization factor, no thermal factor.

Largest 6 diffraction maxima, by angle, 10 to 80 degrees two-theta:
2θ = 27.02°, rel. 83
2θ = 29.39°, rel. 72
2θ = 32.01°, rel. 100
2θ = 37.60°, rel. 46
2θ = 44.01°, rel. 67
2θ = 47.44°, rel. 43

Structural model:
a = 10.515 Å, b = 4.785 Å, c = 10.530 Å
α = 90.00°, β = 119.91°, γ = 90.00°
Atoms (fractional coordinates):
Ba 0.167 0.250 0.333
Ba 0.833 0.750 0.667
Sb 0.115 0.250 0.936
Sb 0.179 0.750 0.615
Sb 0.436 0.750 0.320
Sb 0.564 0.250 0.680
Sb 0.821 0.250 0.385
Sb 0.885 0.750 0.064
Au 0.082 0.250 0.662
Au 0.162 0.750 0.079
Au 0.421 0.750 0.582
Au 0.579 0.250 0.418
Au 0.838 0.250 0.921
Au 0.918 0.750 0.338

---

No. 10
Starting from the PBE geometry in Alexandria, the X-ray powder pattern of TbErPt was calculated for Cu Kα.
Kinematic intensities with the Lorentz-polarization factor, no thermal factor.

Largest 6 diffraction maxima, by angle, 10 to 80 degrees two-theta:
2θ = 22.44°, rel. 33
2θ = 37.06°, rel. 100
2θ = 43.76°, rel. 18
2θ = 53.41°, rel. 18
2θ = 66.68°, rel. 9
2θ = 66.83°, rel. 27

Structural model:
a = 8.416 Å, b = 8.416 Å, c = 8.416 Å
α = 33.48°, β = 33.48°, γ = 33.48°
Atoms (fractional coordinates):
Tb 0.124 0.124 0.124
Tb 0.876 0.876 0.876
Er 0.374 0.374 0.374
Er 0.626 0.626 0.626
Pt 0.251 0.251 0.251
Pt 0.749 0.749 0.749

---

No. 11
Starting from the PBE geometry in Alexandria, the X-ray powder pattern of Mg14CrB was calculated for Cu Kα.
Kinematic intensities with the Lorentz-polarization factor, no thermal factor.

Largest 6 diffraction maxima, by angle, 10 to 80 degrees two-theta:
2θ = 33.08°, rel. 25
2θ = 36.76°, rel. 24
2θ = 37.98°, rel. 100
2θ = 59.08°, rel. 17
2θ = 67.01°, rel. 16
2θ = 71.64°, rel. 18

Structural model:
a = 6.255 Å, b = 6.255 Å, c = 9.779 Å
α = 90.00°, β = 90.00°, γ = 120.00°
Atoms (fractional coordinates):
Mg 0.000 0.000 0.247
Mg 0.000 0.000 0.753
Mg 0.016 0.508 0.262
Mg 0.016 0.508 0.738
Mg 0.326 0.163 0.500
Mg 0.339 0.169 0.000
Mg 0.492 0.508 0.262
Mg 0.492 0.508 0.738
Mg 0.492 0.984 0.262
Mg 0.492 0.984 0.738
Mg 0.831 0.169 0.000
Mg 0.831 0.661 0.000
Mg 0.837 0.163 0.500
Mg 0.837 0.674 0.500
Cr 0.333 0.667 0.000
B 0.333 0.667 0.500

---

No. 12
Starting from the PBE geometry in Alexandria, the X-ray powder pattern of SrCa3Pt was calculated for Cu Kα.
Kinematic intensities with the Lorentz-polarization factor, no thermal factor.

Largest 6 diffraction maxima, by angle, 10 to 80 degrees two-theta:
2θ = 19.55°, rel. 77
2θ = 20.79°, rel. 86
2θ = 21.99°, rel. 85
2θ = 22.26°, rel. 84
2θ = 27.32°, rel. 69
2θ = 36.77°, rel. 100

Structural model:
a = 9.832 Å, b = 6.926 Å, c = 10.919 Å
α = 90.00°, β = 96.20°, γ = 90.00°
Atoms (fractional coordinates):
Sr 0.104 0.020 0.181
Sr 0.104 0.480 0.681
Sr 0.896 0.520 0.319
Sr 0.896 0.980 0.819
Ca 0.175 0.543 0.047
Ca 0.175 0.957 0.547
Ca 0.323 0.068 0.909
Ca 0.323 0.432 0.409
Ca 0.468 0.600 0.851
Ca 0.468 0.900 0.351
Ca 0.532 0.100 0.649
Ca 0.532 0.400 0.149
Ca 0.677 0.568 0.591
Ca 0.677 0.932 0.091
Ca 0.825 0.043 0.453
Ca 0.825 0.457 0.953
Pt 0.400 0.721 0.595
Pt 0.400 0.779 0.095
Pt 0.600 0.221 0.905
Pt 0.600 0.279 0.405